# 1
Structure and simulated X-ray powder pattern of Li4AlSnPt2 (a structure optimized by DFT (GGA-PBE); Cu Kα).

Top 10 peaks for 10° ≤ 2θ ≤ 90°, in order of rising 2θ:
| two_theta | d_spacing | I/Imax |
| --- | --- | --- |
| 24.96 | 3.568 | 100 |
| 29.02 | 3.077 | 12 |
| 41.23 | 2.189 | 51 |
| 41.51 | 2.175 | 26 |
| 48.56 | 1.875 | 15 |
| 49.05 | 1.857 | 33 |
| 60.15 | 1.538 | 9 |
| 65.75 | 1.420 | 13 |
| 74.97 | 1.267 | 8 |
| 75.54 | 1.259 | 18 |

Cell lengths 4.3509, 4.3509, 6.2330 Å; angles 90.00, 90.00, 90.00 degrees
Atoms (fractional coordinates):
Li 0.0000 0.0000 0.0000
Li 0.0000 0.5000 0.7325
Li 0.5000 0.0000 0.2675
Li 0.5000 0.5000 0.5000
Al 0.0000 0.0000 0.5000
Sn 0.5000 0.5000 0.0000
Pt 0.0000 0.5000 0.2691
Pt 0.5000 0.0000 0.7309

---

# 2
Structure and simulated X-ray powder pattern of Cu2Ag (a structure optimized by DFT (GGA-PBE); Cu Kα).

Top 10 peaks for 10° ≤ 2θ ≤ 90°, in order of rising 2θ:
| two_theta | d_spacing | I/Imax |
| --- | --- | --- |
| 40.67 | 2.218 | 100 |
| 41.06 | 2.198 | 92 |
| 47.31 | 1.921 | 60 |
| 48.01 | 1.895 | 29 |
| 68.60 | 1.368 | 9 |
| 69.69 | 1.349 | 42 |
| 83.17 | 1.161 | 21 |
| 83.93 | 1.153 | 19 |
| 84.47 | 1.147 | 10 |
| 84.72 | 1.144 | 10 |

Cell lengths 7.1116, 7.1116, 7.1116 Å; angles 157.82, 73.86, 110.61 degrees
Atoms (fractional coordinates):
Cu 0.0000 0.0000 0.0000
Cu 0.3093 0.3093 0.0000
Cu 0.3121 0.6527 0.6594
Cu 0.3145 0.9794 0.3350
Cu 0.6444 0.9794 0.6650
Cu 0.9933 0.6527 0.3406
Ag 0.6389 0.6389 0.0000
Ag 0.6508 0.3227 0.3281
Ag 0.9946 0.3227 0.6719

---

# 3
Structure and simulated X-ray powder pattern of ScNbSb2Ir2 (a structure optimized by DFT (GGA-PBE); Cu Kα).

Top 10 peaks for 10° ≤ 2θ ≤ 90°, in order of rising 2θ:
| two_theta | d_spacing | I/Imax |
| --- | --- | --- |
| 24.56 | 3.624 | 80 |
| 40.64 | 2.220 | 100 |
| 40.70 | 2.217 | 20 |
| 48.07 | 1.893 | 39 |
| 58.85 | 1.569 | 19 |
| 64.69 | 1.441 | 8 |
| 64.78 | 1.439 | 7 |
| 73.92 | 1.282 | 20 |
| 74.04 | 1.280 | 18 |
| 88.02 | 1.110 | 8 |

Cell lengths 4.4447, 8.8675, 6.2752 Å; angles 90.00, 90.00, 90.00 degrees
Atoms (fractional coordinates):
Sc 0.0000 0.1248 0.0000
Sc 0.5000 0.8752 0.5000
Nb 0.0000 0.6238 0.9894
Nb 0.5000 0.3762 0.4894
Sb 0.0000 0.1194 0.5032
Sb 0.0000 0.6309 0.4837
Sb 0.5000 0.3691 0.9837
Sb 0.5000 0.8806 0.0032
Ir 0.0000 0.3843 0.7307
Ir 0.0000 0.8638 0.7575
Ir 0.5000 0.1362 0.2575
Ir 0.5000 0.6157 0.2307

---

# 4
Structure and simulated X-ray powder pattern of LuInTc (a structure optimized by DFT (GGA-PBE); Cu Kα).

Top 10 peaks for 10° ≤ 2θ ≤ 90°, in order of rising 2θ:
| two_theta | d_spacing | I/Imax |
| --- | --- | --- |
| 23.51 | 3.784 | 22 |
| 27.21 | 3.277 | 30 |
| 38.86 | 2.318 | 100 |
| 45.92 | 1.976 | 11 |
| 48.08 | 1.892 | 9 |
| 56.13 | 1.639 | 17 |
| 63.47 | 1.466 | 11 |
| 70.36 | 1.338 | 34 |
| 83.41 | 1.159 | 11 |
| 89.77 | 1.092 | 6 |

Cell lengths 4.6350, 4.6350, 4.6350 Å; angles 60.00, 60.00, 60.00 degrees
Atoms (fractional coordinates):
Lu 0.0000 0.0000 0.0000
In 0.5000 0.5000 0.5000
Tc 0.7500 0.7500 0.7500

---

# 5
Structure and simulated X-ray powder pattern of DyScTeC (a structure optimized by DFT (GGA-PBE); Cu Kα).

Top 10 peaks for 10° ≤ 2θ ≤ 90°, in order of rising 2θ:
| two_theta | d_spacing | I/Imax |
| --- | --- | --- |
| 19.51 | 4.549 | 10 |
| 27.79 | 3.210 | 34 |
| 34.19 | 2.623 | 100 |
| 39.62 | 2.275 | 13 |
| 49.13 | 1.854 | 41 |
| 61.24 | 1.514 | 18 |
| 64.90 | 1.437 | 18 |
| 68.42 | 1.371 | 12 |
| 82.24 | 1.172 | 16 |
| 88.76 | 1.102 | 6 |

Cell lengths 3.7066, 3.7066, 13.6483 Å; angles 90.00, 90.00, 120.00 degrees
Atoms (fractional coordinates):
Dy 0.0000 0.0000 0.1665
Dy 0.0000 0.0000 0.8335
Sc 0.3333 0.6667 0.3491
Sc 0.3333 0.6667 0.6509
Te 0.0000 0.0000 0.5000
Te 0.3333 0.6667 0.0000
C 0.6667 0.3333 0.2621
C 0.6667 0.3333 0.7379

---

# 6
Structure and simulated X-ray powder pattern of Dy2SCl4 (a structure optimized by DFT (GGA-PBE); Cu Kα).

Top 10 peaks for 10° ≤ 2θ ≤ 90°, in order of rising 2θ:
| two_theta | d_spacing | I/Imax |
| --- | --- | --- |
| 20.62 | 4.308 | 100 |
| 23.72 | 3.751 | 29 |
| 24.97 | 3.565 | 54 |
| 27.33 | 3.263 | 21 |
| 34.12 | 2.628 | 28 |
| 37.20 | 2.417 | 44 |
| 39.70 | 2.270 | 19 |
| 41.88 | 2.157 | 28 |
| 42.08 | 2.147 | 19 |
| 48.06 | 1.893 | 18 |

Cell lengths 8.2057, 8.2057, 6.8495 Å; angles 97.26, 97.26, 45.31 degrees
Atoms (fractional coordinates):
Dy 0.0984 0.6866 0.9224
Dy 0.3134 0.9016 0.5776
Dy 0.6866 0.0984 0.4224
Dy 0.9016 0.3134 0.0776
S 0.0634 0.9366 0.2500
S 0.9366 0.0634 0.7500
Cl 0.1372 0.3001 0.8193
Cl 0.3001 0.1372 0.3193
Cl 0.3101 0.5105 0.5778
Cl 0.4895 0.6899 0.9222
Cl 0.5105 0.3101 0.0778
Cl 0.6899 0.4895 0.4222
Cl 0.6999 0.8628 0.6807
Cl 0.8628 0.6999 0.1807